The following is a theoretical powder XRD pattern of PrNd7Tm3. It was derived from a crystal structure in Alexandria, relaxed with GGA-PBE, using copper Kα.
Peak positions follow from Bragg's law for the DFT cell and can differ from measured ones.

Structural model:
Cell lengths 6.587, 6.789, 8.795 Å; angles 99.87, 98.97, 95.92 degrees
Positions (direct):
1 Pr 0.000 0.000 0.000
2 Nd 0.000 0.500 0.000
3 Nd 0.051 0.211 0.641
4 Nd 0.220 0.724 0.709
5 Nd 0.484 0.240 0.911
6 Nd 0.516 0.760 0.089
7 Nd 0.780 0.276 0.291
8 Nd 0.949 0.789 0.359
9 Tm 0.313 0.431 0.339
10 Tm 0.500 0.000 0.500
11 Tm 0.687 0.569 0.661

Most intense lines, 10 to 90 degrees two-theta, in order of rising 2θ:
2θ/deg, Rel. int., index
26.93, 28.4, 0 1 2
30.83, 35.3, 0 2 -2
31.16, 61.1, 1 2 -1
31.41, 100.0, -1 2 1
31.47, 26.3, 0 0 3
31.69, 79.6, 2 0 -2
31.80, 86.6, 2 -1 1
32.08, 20.7, 1 0 -3
32.84, 44.4, 1 1 2
33.96, 19.6, 1 -2 2
55.50, 24.1, 0 4 0
56.48, 16.3, -3 2 3